MnV2Se5: computed powder diffraction line list (Cu Kα X-rays), based on DFT lattice parameters and positions (GGA-PBE).
Lines closer than 0.1° are merged.

Largest 6 diffraction maxima, sorted by position, 2θ from 15° to 90°:
| h k l | two_theta | I/Imax |
| --- | --- | --- |
| 1 3 1 | 29.62 | 64 |
| 1 3 3 | 35.65 | 100 |
| 0 4 4 | 39.57 | 55 |
| 2 0 0 | 39.98 | 70 |
| 1 5 3 | 45.83 | 57 |
| 0 8 0 | 57.52 | 59 |

Unit cell a=4.510 b=12.816 c=12.949 alpha=90.00 beta=90.00 gamma=90.00
Space group Fmmm (No. 69)
Unique sites:
Mn  0.000  0.000  0.000 [4 per cell]
V  0.000  0.000  0.309 [8 per cell]
Se  0.000  0.000  0.500 [4 per cell]
Se  0.000  0.123  0.160 [16 per cell]

MnV3Se6: computed powder diffraction line list (Cu Kα X-rays), based on DFT lattice parameters and positions (GGA-PBE).
Lines closer than 0.1° are merged.

Largest 6 diffraction maxima, sorted by position, 2θ from 15° to 90°:
| h k l | two_theta | I/Imax |
| --- | --- | --- |
| 0 1 2 | 19.02 | 13 |
| 1 1 3 | 31.94 | 100 |
| 2 -1 6 | 42.46 | 50 |
| 3 0 0 | 48.96 | 39 |
| 1 1 9 | 56.42 | 19 |
| 4 -2 3 | 59.66 | 15 |

Unit cell a=6.4446 b=6.4446 c=17.0179 alpha=90.00 beta=90.00 gamma=120.00
Space group R3 (No. 146, hexagonal axes)
Unique sites:
Mn  0.0000  0.0000  0.0000 [3 per cell]
V  0.0000  0.0000  0.1810 [3 per cell]
V  0.0000  0.0000  0.5039 [3 per cell]
V  0.0000  0.0000  0.6836 [3 per cell]
Se  0.0119  0.6698  0.7636 [9 per cell]
Se  0.0178  0.3426  0.2628 [9 per cell]

MnV4Se8: computed powder diffraction line list (Cu Kα X-rays), based on DFT lattice parameters and positions (GGA-PBE).
Lines closer than 0.1° are merged.

Largest 6 diffraction maxima, sorted by position, 2θ from 15° to 90°:
| h k l | two_theta | I/Imax |
| --- | --- | --- |
| 2 2 2 | 30.00 | 68 |
| 4 0 0 | 34.78 | 100 |
| 4 4 0 | 50.00 | 84 |
| 6 2 2 | 59.42 | 30 |
| 4 4 4 | 62.35 | 20 |
| 8 4 0 | 83.87 | 22 |

Unit cell a=10.318 b=10.318 c=10.318 alpha=90.00 beta=90.00 gamma=90.00
Space group F-43m (No. 216)
Unique sites:
Mn  0.000  0.000  0.000 [4 per cell]
V  0.108  0.108  0.608 [16 per cell]
Se  0.129  0.129  0.371 [16 per cell]
Se  0.137  0.137  0.863 [16 per cell]

Mn2VSe6: computed powder diffraction line list (Cu Kα X-rays), based on DFT lattice parameters and positions (GGA-PBE).
Lines closer than 0.1° are merged.

Largest 6 diffraction maxima, sorted by position, 2θ from 15° to 90°:
| h k l | two_theta | I/Imax |
| --- | --- | --- |
| 4 0 -2 | 26.89 | 21 |
| 3 1 0 | 31.39 | 33 |
| 1 1 -2 | 34.79 | 100 |
| 6 0 0 | 35.20 | 50 |
| 7 1 -2 | 47.95 | 36 |
| 5 1 2 | 52.62 | 31 |

Unit cell a=16.416 b=3.437 c=7.870 alpha=90.00 beta=111.28 gamma=90.00
Space group C2/m (No. 12)
Unique sites:
Mn  0.166  0.000  0.332 [4 per cell]
V  0.000  0.500  0.000 [2 per cell]
Se  0.005  0.000  0.237 [4 per cell]
Se  0.164  0.500  0.105 [4 per cell]
Se  0.172  0.500  0.562 [4 per cell]

Yb2MnSe4: computed powder diffraction line list (Cu Kα X-rays), based on DFT lattice parameters and positions (GGA-PBE).
Lines closer than 0.1° are merged.

Largest 6 diffraction maxima, sorted by position, 2θ from 15° to 90°:
| h k l | two_theta | I/Imax |
| --- | --- | --- |
| 3 1 1 | 25.76 | 77 |
| 4 0 0 | 31.19 | 96 |
| 3 3 3 | 40.88 | 29 |
| 4 4 0 | 44.69 | 100 |
| 8 4 0 | 73.89 | 33 |
| 8 4 4 | 82.36 | 34 |

Unit cell a=11.472 b=11.472 c=11.472 alpha=90.00 beta=90.00 gamma=90.00
Space group Fd-3m (No. 227, origin choice 2)
Unique sites:
Yb  0.000  0.000  0.000 [16 per cell]
Mn  0.125  0.125  0.625 [8 per cell]
Se  0.001  0.001  0.749 [32 per cell]

MnZn4Se5: computed powder diffraction line list (Cu Kα X-rays), based on DFT lattice parameters and positions (GGA-PBE).
Lines closer than 0.1° are merged.

Largest 6 diffraction maxima, sorted by position, 2θ from 15° to 90°:
| h k l | two_theta | I/Imax |
| --- | --- | --- |
| 1 1 1 | 26.78 | 100 |
| 0 2 0 | 44.44 | 73 |
| 0 0 5 | 52.65 | 44 |
| 1 3 1 | 71.29 | 16 |
| 5 3 0 | 81.87 | 15 |
| 5 3 -5 | 88.05 | 10 |

Unit cell a=13.515 b=4.075 c=9.990 alpha=90.00 beta=119.41 gamma=90.00
Space group Cm (No. 8)
Unique sites:
Mn  0.000  0.000  0.000 [2 per cell]
Zn  0.100  0.500  0.403 [2 per cell]
Zn  0.198  0.000  0.798 [2 per cell]
Zn  0.301  0.500  0.200 [2 per cell]
Zn  0.397  0.000  0.595 [2 per cell]
Se  0.001  0.000  0.254 [2 per cell]
Se  0.098  0.500  0.650 [2 per cell]
Se  0.203  0.000  0.050 [2 per cell]
Se  0.298  0.500  0.447 [2 per cell]
Se  0.396  0.000  0.843 [2 per cell]

MnZn4Se5: computed powder diffraction line list (Cu Kα X-rays), based on DFT lattice parameters and positions (GGA-PBE).
Lines closer than 0.1° are merged.

Largest 6 diffraction maxima, sorted by position, 2θ from 15° to 90°:
| h k l | two_theta | I/Imax |
| --- | --- | --- |
| 0 1 5 | 26.74 | 100 |
| 1 1 0 | 44.37 | 73 |
| 2 0 5 | 52.56 | 44 |
| 2 0 20 | 64.55 | 11 |
| 3 0 0 | 81.72 | 17 |
| 2 1 25 | 87.87 | 10 |

Unit cell a=4.0808 b=4.0808 c=50.0738 alpha=90.00 beta=90.00 gamma=120.00
Space group R3m (No. 160, hexagonal axes)
Unique sites:
Mn  0.0000  0.0000  0.0000 [3 per cell]
Zn  0.0000  0.0000  0.2001 [3 per cell]
Zn  0.0000  0.0000  0.4016 [3 per cell]
Zn  0.0000  0.0000  0.5993 [3 per cell]
Zn  0.0000  0.0000  0.8007 [3 per cell]
Se  0.0000  0.0000  0.1505 [3 per cell]
Se  0.0000  0.0000  0.3519 [3 per cell]
Se  0.0000  0.0000  0.5497 [3 per cell]
Se  0.0000  0.0000  0.7511 [3 per cell]
Se  0.0000  0.0000  0.9493 [3 per cell]

Mn2ZnSe4: computed powder diffraction line list (Cu Kα X-rays), based on DFT lattice parameters and positions (GGA-PBE).
Lines closer than 0.1° are merged.

Largest 6 diffraction maxima, sorted by position, 2θ from 15° to 90°:
| h k l | two_theta | I/Imax |
| --- | --- | --- |
| 3 1 1 | 27.68 | 39 |
| 2 2 2 | 28.94 | 48 |
| 4 0 0 | 33.54 | 75 |
| 5 1 1 | 44.02 | 32 |
| 4 4 0 | 48.16 | 100 |
| 8 4 4 | 89.93 | 29 |

Unit cell a=10.689 b=10.689 c=10.689 alpha=90.00 beta=90.00 gamma=90.00
Space group Fd-3m (No. 227, origin choice 2)
Unique sites:
Mn  0.000  0.000  0.000 [16 per cell]
Zn  0.125  0.125  0.625 [8 per cell]
Se  0.009  0.009  0.241 [32 per cell]